No. 1
Structure and calculated powder XRD pattern of Ba2FeBiS6 (a cell relaxed with GGA-PBE; Cu Kα (weighted mean of Kα1 and Kα2)).

Main lines, in order of rising 2θ (2θ = 10–90°):
2theta  Rel. int.
15.40  13
25.28  100
29.74  15
36.06  48
44.55  44
51.92  32
58.60  21
70.77  24
82.08  11
87.59  14

```
Ba2FeBiS6
1.0
0.0000 4.9814 4.9814
4.9814 0.0000 4.9814
4.9814 4.9814 0.0000
Ba Fe Bi S
2 1 1 6
Cartesian
2.4907 2.4907 2.4907
7.4721 7.4721 7.4721
0.0000 0.0000 0.0000
4.9814 4.9814 4.9814
4.9814 4.9814 2.3107
4.9814 2.3107 4.9814
7.6521 4.9814 4.9814
2.3107 4.9814 4.9814
4.9814 7.6521 4.9814
4.9814 4.9814 7.6521
```

***

No. 2
Structure and calculated powder XRD pattern of Ba2FeBiS5 (a cell relaxed with GGA-PBE; Cu Kα (weighted mean of Kα1 and Kα2)).

Main lines, in order of rising 2θ (2θ = 10–90°):
2theta  Rel. int.
23.42  79
24.05  78
24.71  72
29.17  100
31.00  35
31.88  40
35.66  31
40.41  35
42.68  34
43.49  37

```
Ba2FeBiS5
1.0
12.1871 0.0000 0.0000
0.0000 8.9274 0.0000
0.0000 0.0000 8.9633
Ba Fe Bi S
8 4 4 20
Cartesian
2.1597 0.0792 1.0454
2.1597 4.3845 1.0454
3.9338 4.5429 5.5271
3.9338 8.8483 5.5271
8.2533 0.0792 3.4363
8.2533 4.3845 3.4363
10.0274 4.5429 7.9179
10.0274 8.8483 7.9179
1.1583 6.6956 7.4068
4.9352 2.2319 2.9252
7.2519 6.6956 6.0382
11.0288 2.2319 1.5565
0.1800 6.6956 4.1904
5.9135 2.2319 8.6720
6.2736 6.6956 0.2913
12.0071 2.2319 4.7730
0.0518 2.2319 8.6845
0.6720 4.8724 6.1195
0.6720 8.5188 6.1195
2.6064 6.6956 3.3359
2.7558 2.2319 3.4343
3.3378 6.6956 7.9160
3.4871 2.2319 7.8176
5.4215 0.4087 1.6379
5.4215 4.0550 1.6379
6.0418 6.6956 4.2028
6.1453 2.2319 4.7605
6.7656 4.8724 7.3255
6.7656 8.5188 7.3255
8.7000 6.6956 1.1458
8.8493 2.2319 1.0473
9.4313 6.6956 5.5290
9.5807 2.2319 5.6275
11.5151 0.4087 2.8438
11.5151 4.0550 2.8438
12.1353 6.6956 0.2788
```

***

No. 3
Structure and calculated powder XRD pattern of K2BaHgBi2 (a cell relaxed with GGA-PBE; Cu Kα (weighted mean of Kα1 and Kα2)).

Main lines, in order of rising 2θ (2θ = 10–90°):
2theta  Rel. int.
18.31  47
21.48  56
28.36  83
31.99  100
38.86  78
43.27  26
54.81  26
55.22  42
61.64  21
71.12  20

```
K2BaHgBi2
1.0
5.5954 0.0000 0.0000
-2.7977 4.8457 0.0000
0.0000 0.0000 8.2752
K Ba Hg Bi
2 1 1 2
Cartesian
0.0000 0.0000 1.9383
0.0000 0.0000 6.3368
2.7977 1.6152 4.1376
0.0000 3.2305 0.0000
0.0000 3.2305 4.1376
2.7977 1.6152 0.0000
```